# 1
The following is a calculated X-ray powder pattern of Tl2In5Pb3. It was derived from DFT lattice parameters and positions (PBE), using Cu Kα (weighted mean of Kα1 and Kα2).
Kinematic intensities with the Lorentz-polarization factor, no thermal factor.

Largest 10 diffraction maxima, sorted by position, 2θ from 10° to 80°:
(hkl), two_theta, I (rel.)
0 2 -3, 31.6, 100
1 -3 0, 31.7, 50
-3 1 2, 31.9, 49
-1 1 3, 35.5, 37
2 2 -2, 36.3, 35
3 -3 1, 38.5, 30
1 3 1, 51.5, 13
3 1 -5, 51.7, 13
1 1 -6, 61.2, 15
2 4 -5, 62.3, 14

Crystal structure
```
data_Tl2In5Pb3
_space_group_name_H-M_alt 'P -1'
_space_group_IT_number 2
_space_group_name_Hall '-P 1'
_cell_length_a 8.912
_cell_length_b 8.952
_cell_length_c 9.370
_cell_angle_alpha 105.35
_cell_angle_beta 108.67
_cell_angle_gamma 112.63
loop_
_atom_site_label
_atom_site_type_symbol
_atom_site_fract_x
_atom_site_fract_y
_atom_site_fract_z
Tl1 Tl 0.078 0.022 0.352
Tl2 Tl 0.320 0.769 0.844
In1 In 0.021 0.673 0.447
In2 In 0.166 0.717 0.143
In3 In 0.275 0.426 0.952
In4 In 0.423 0.476 0.648
In5 In 0.470 0.823 0.545
Pb1 Pb 0.132 0.382 0.257
Pb2 Pb 0.229 0.078 0.056
Pb3 Pb 0.384 0.134 0.754
```

# 2
The following is a calculated X-ray powder pattern of Tl2In4Pb. It was derived from DFT lattice parameters and positions (PBE), using Cu Kα (weighted mean of Kα1 and Kα2).
Kinematic intensities with the Lorentz-polarization factor, no thermal factor.

Largest 10 diffraction maxima, sorted by position, 2θ from 10° to 80°:
(hkl), two_theta, I (rel.)
1 1 -1, 29.2, 24
4 0 1, 30.8, 57
3 1 -1, 31.8, 44
6 0 -2, 33.0, 100
1 1 -2, 35.2, 22
3 1 1, 37.3, 20
5 1 -1, 38.1, 15
1 1 2, 38.7, 23
4 2 1, 65.0, 21
6 2 -2, 66.3, 27

Crystal structure
```
data_Tl2In4Pb
_space_group_name_H-M_alt 'C 1 2/m 1'
_space_group_IT_number 12
_space_group_name_Hall '-C 2y'
_cell_length_a 16.892
_cell_length_b 3.298
_cell_length_c 8.213
_cell_angle_alpha 90.00
_cell_angle_beta 115.76
_cell_angle_gamma 90.00
loop_
_atom_site_label
_atom_site_type_symbol
_atom_site_fract_x
_atom_site_fract_y
_atom_site_fract_z
Tl1 Tl 0.224 0.000 0.160
In1 In 0.076 0.000 0.701
In2 In 0.131 0.500 0.405
Pb1 Pb 0.000 0.000 0.000
```

# 3
The following is a calculated X-ray powder pattern of Tl12In6Pb. It was derived from DFT lattice parameters and positions (PBE), using Cu Kα (weighted mean of Kα1 and Kα2).
Kinematic intensities with the Lorentz-polarization factor, no thermal factor.

Largest 10 diffraction maxima, sorted by position, 2θ from 10° to 80°:
(hkl), two_theta, I (rel.)
2 1 1, 23.8, 18
0 1 5, 31.9, 36
0 3 3, 32.1, 100
3 -1 4, 33.8, 42
3 1 2, 33.9, 40
2 2 3, 35.6, 15
6 -2 2, 48.7, 12
1 2 8, 55.7, 11
5 -4 6, 55.9, 13
5 2 3, 59.5, 13

Crystal structure
```
data_Tl12In6Pb
_space_group_name_H-M_alt 'R -3'
_space_group_IT_number 148
_space_group_name_Hall '-R 3'
_cell_length_a 11.8122
_cell_length_b 11.8122
_cell_length_c 14.5870
_cell_angle_alpha 90.00
_cell_angle_beta 90.00
_cell_angle_gamma 120.00
loop_
_atom_site_label
_atom_site_type_symbol
_atom_site_fract_x
_atom_site_fract_y
_atom_site_fract_z
Tl1 Tl 0.0449 0.1868 0.3060
Tl2 Tl 0.0674 0.8365 0.9175
In1 In 0.0277 0.4434 0.2049
Pb1 Pb 0.0000 0.0000 0.5000
```

# 4
The following is a calculated X-ray powder pattern of Tl3InPb6. It was derived from DFT lattice parameters and positions (PBE), using Cu Kα (weighted mean of Kα1 and Kα2).
Kinematic intensities with the Lorentz-polarization factor, no thermal factor.

Largest 10 diffraction maxima, sorted by position, 2θ from 10° to 80°:
(hkl), two_theta, I (rel.)
2 -1 1, 29.3, 94
0 0 3, 29.9, 48
2 0 0, 31.8, 48
2 0 1, 33.4, 19
1 1 2, 34.1, 100
3 -1 1, 43.8, 19
2 0 3, 44.2, 21
2 -1 4, 49.4, 28
4 -1 1, 60.2, 24
3 1 2, 63.1, 20

Crystal structure
```
data_Tl3InPb6
_space_group_name_H-M_alt 'P -3 1 m'
_space_group_IT_number 162
_space_group_name_Hall '-P 3 2'
_cell_length_a 6.4930
_cell_length_b 6.4930
_cell_length_c 8.9649
_cell_angle_alpha 90.00
_cell_angle_beta 90.00
_cell_angle_gamma 120.00
loop_
_atom_site_label
_atom_site_type_symbol
_atom_site_fract_x
_atom_site_fract_y
_atom_site_fract_z
Tl1 Tl 0.0000 0.0000 0.0000
Tl2 Tl 0.3333 0.6667 0.0000
In1 In 0.0000 0.0000 0.5000
Pb1 Pb 0.0000 0.4279 0.3174
```